Structure and calculated X-ray diffraction stick pattern of SrCrPO4 (a DFT-relaxed cell (GGA+U, Alexandria); Cu Kα).
Kinematic intensities with the Lorentz-polarization factor, no thermal factor.

Cell and atoms:
```
7
Lattice="0.000 4.132 4.132 4.132 0.000 4.132 4.132 4.132 0.000" Properties=species:S:1:pos:R:3 pbc="T T T"
Sr 0.000 0.000 0.000
Cr 6.198 6.198 6.198
P 4.132 4.132 4.132
O 5.021 3.243 3.243
O 3.243 5.021 3.243
O 3.243 3.243 5.021
O 5.021 5.021 5.021
```

Top 10 peaks for 2θ from 10° to 90°, sorted by position:
18.60°, I 42
21.50°, I 26
30.60°, I 100
36.04°, I 27
47.98°, I 16
54.39°, I 34
57.99°, I 12
63.70°, I 17
72.31°, I 13
88.54°, I 19